Simulated XRD peak list
Compound: ThMgZn5Pd2
Radiation: copper Kα
Structure: a structure optimized by DFT (GGA-PBE)

Crystal structure
```
ThMgZn5Pd2
1.0
4.8019 0.0000 0.0000
0.0000 4.8019 0.0000
0.0000 0.0000 7.5850
Th Mg Zn Pd
1 1 5 2
direct
0.0000 0.0000 0.0000
0.0000 0.0000 0.5000
0.0000 0.5000 0.2652
0.0000 0.5000 0.7348
0.5000 0.0000 0.2652
0.5000 0.0000 0.7348
0.5000 0.5000 0.0000
0.5000 0.5000 0.3258
0.5000 0.5000 0.6742
```

Top 10 peaks for 5 to 70 degrees two-theta, in order of rising 2θ:
| 2θ (°) | intensity | index |
| --- | --- | --- |
| 21.91 | 55 | 1 0 1 |
| 26.25 | 22 | 1 1 0 |
| 30.02 | 46 | 1 0 2 |
| 35.49 | 100 | 0 0 3 |
| 37.46 | 95 | 2 0 0 |
| 44.69 | 29 | 1 1 3 |
| 48.73 | 25 | 2 1 2 |
| 52.57 | 34 | 2 0 3 |
| 54.01 | 33 | 2 2 0 |
| 66.31 | 40 | 2 2 3 |